[1]
Diffraction record for La2MgSe4. The powder X-ray diffraction pattern is computed, not measured: it uses a cell relaxed with PBE and Cu Kα (λ = 1.5418 Å).

Largest 10 diffraction maxima, sorted by position, 2θ from 5° to 70°:
2theta, I/Imax
20.12, 26
23.75, 26
30.36, 60
31.89, 53
32.07, 100
36.70, 89
38.00, 35
47.18, 29
50.16, 20
52.78, 20

Atomic structure:
Cell: 7.803 7.803 7.803 Å, 111.13 111.13 106.21°
Atoms (fractional coordinates):
La (0.008, 0.625, 0.883)
La (0.375, 0.258, 0.383)
La (0.742, 0.125, 0.117)
La (0.875, 0.992, 0.617)
Mg (0.250, 0.750, 0.500)
Mg (0.500, 0.500, 0.000)
Se (0.006, 0.875, 0.268)
Se (0.125, 0.392, 0.131)
Se (0.142, 0.375, 0.631)
Se (0.261, 0.994, 0.869)
Se (0.489, 0.858, 0.232)
Se (0.608, 0.739, 0.732)
Se (0.625, 0.256, 0.768)
Se (0.744, 0.511, 0.369)



[2]
Diffraction record for LiSiBiO4. The powder X-ray diffraction pattern is computed, not measured: it uses a cell relaxed with PBE and Cu Kα (λ = 1.5418 Å).

Largest 10 diffraction maxima, sorted by position, 2θ from 5° to 70°:
2theta, I/Imax
19.78, 100
20.52, 40
22.65, 20
30.25, 92
30.75, 40
34.16, 20
35.50, 34
42.52, 29
46.61, 30
58.74, 22

Atomic structure:
Cell: 7.851 8.657 5.250 Å, 90.00 90.00 90.00°
Atoms (fractional coordinates):
Li (0.221, 0.082, 0.000)
Li (0.279, 0.582, 0.500)
Li (0.721, 0.418, 0.000)
Li (0.779, 0.918, 0.500)
Si (0.237, 0.921, 0.512)
Si (0.263, 0.421, 0.012)
Si (0.737, 0.579, 0.512)
Si (0.763, 0.079, 0.012)
Bi (0.025, 0.229, 0.478)
Bi (0.475, 0.729, 0.978)
Bi (0.525, 0.271, 0.478)
Bi (0.975, 0.771, 0.978)
O (0.033, 0.918, 0.597)
O (0.157, 0.419, 0.284)
O (0.220, 0.279, 0.818)
O (0.231, 0.591, 0.871)
O (0.269, 0.091, 0.371)
O (0.280, 0.779, 0.318)
O (0.343, 0.919, 0.784)
O (0.467, 0.418, 0.097)
O (0.533, 0.582, 0.597)
O (0.657, 0.081, 0.284)
O (0.720, 0.221, 0.818)
O (0.731, 0.909, 0.871)
O (0.769, 0.409, 0.371)
O (0.780, 0.721, 0.318)
O (0.843, 0.581, 0.784)
O (0.967, 0.082, 0.097)



[3]
Diffraction record for Dy2ReC2. The powder X-ray diffraction pattern is computed, not measured: it uses a cell relaxed with PBE and Cu Kα (λ = 1.5418 Å).

Largest 10 diffraction maxima, sorted by position, 2θ from 5° to 70°:
2theta, I/Imax
30.44, 16
32.37, 100
32.77, 24
33.65, 89
34.97, 63
35.21, 49
59.11, 16
59.27, 16
61.08, 17
61.87, 16

Atomic structure:
Cell: 6.570 5.132 9.849 Å, 90.00 90.00 90.00°
Atoms (fractional coordinates):
Dy (0.032, 0.250, 0.217)
Dy (0.182, 0.250, 0.555)
Dy (0.318, 0.750, 0.055)
Dy (0.468, 0.750, 0.717)
Dy (0.532, 0.250, 0.283)
Dy (0.682, 0.250, 0.945)
Dy (0.818, 0.750, 0.445)
Dy (0.968, 0.750, 0.783)
Re (0.222, 0.250, 0.866)
Re (0.278, 0.750, 0.366)
Re (0.722, 0.250, 0.634)
Re (0.778, 0.750, 0.134)
C (0.045, 0.750, 0.241)
C (0.177, 0.750, 0.550)
C (0.323, 0.250, 0.050)
C (0.455, 0.250, 0.741)
C (0.545, 0.750, 0.259)
C (0.677, 0.750, 0.950)
C (0.823, 0.250, 0.450)
C (0.955, 0.250, 0.759)



[4]
Diffraction record for Mg2ZnN2. The powder X-ray diffraction pattern is computed, not measured: it uses a cell relaxed with PBE and Cu Kα (λ = 1.5418 Å).

Largest 10 diffraction maxima, sorted by position, 2θ from 5° to 70°:
2theta, I/Imax
16.84, 100
20.67, 20
29.39, 28
34.06, 25
36.20, 6
38.23, 6
45.59, 31
52.12, 18
60.97, 5
63.74, 14

Atomic structure:
Cell: 7.445 7.445 7.445 Å, 90.00 90.00 90.00°
Atoms (fractional coordinates):
Mg (0.198, 0.198, 0.198)
Mg (0.198, 0.802, 0.802)
Mg (0.802, 0.198, 0.802)
Mg (0.802, 0.802, 0.198)
Zn (0.000, 0.000, 0.000)
Zn (0.500, 0.500, 0.500)
N (0.351, 0.351, 0.351)
N (0.351, 0.649, 0.649)
N (0.649, 0.351, 0.649)
N (0.649, 0.649, 0.351)



[5]
Diffraction record for Ti6PtAu. The powder X-ray diffraction pattern is computed, not measured: it uses a cell relaxed with PBE and Cu Kα (λ = 1.5418 Å).

Largest 9 diffraction maxima, sorted by position, 2θ from 5° to 70°:
2theta, I/Imax
24.80, 80
35.36, 45
39.70, 20
43.67, 100
50.87, 13
57.39, 18
63.47, 1
66.39, 4
69.24, 50

Atomic structure:
Cell: 5.077 5.077 5.077 Å, 90.00 90.00 90.00°
Atoms (fractional coordinates):
Ti (0.000, 0.254, 0.500)
Ti (0.000, 0.746, 0.500)
Ti (0.254, 0.500, 0.000)
Ti (0.500, 0.000, 0.254)
Ti (0.500, 0.000, 0.746)
Ti (0.746, 0.500, 0.000)
Pt (0.500, 0.500, 0.500)
Au (0.000, 0.000, 0.000)



[6]
Diffraction record for YLuRh2. The powder X-ray diffraction pattern is computed, not measured: it uses a cell relaxed with PBE and Cu Kα (λ = 1.5418 Å).

Largest 8 diffraction maxima, sorted by position, 2θ from 5° to 70°:
2theta, I/Imax
22.61, 7
26.16, 1
37.33, 100
44.09, 4
53.82, 17
59.11, 2
60.80, 1
67.33, 35

Atomic structure:
Cell: 4.817 4.817 4.817 Å, 60.00 60.00 60.00°
Atoms (fractional coordinates):
Y (0.000, 0.000, 0.000)
Lu (0.500, 0.500, 0.500)
Rh (0.250, 0.250, 0.250)
Rh (0.750, 0.750, 0.750)



Q: What is the formula in the first record?
A: La2MgSe4